Record 1
This entry pairs a crystal structure of Sm5Te2Pb2 with its simulated X-ray diffraction stick pattern. Radiation: Cu Ka. Structure: the GGA-PBE geometry in Alexandria.

Atomic structure:
```
Sm5Te2Pb2
1.0
7.9012 -4.1508 0.0000
7.9012 4.1508 0.0000
0.0000 0.0000 8.3724
Sm Te Pb
10 4 4
Direct
0.0000 0.0000 0.0000
0.0287 0.6973 0.6623
0.1973 0.5287 0.1623
0.3027 0.9713 0.6623
0.4713 0.8027 0.1623
0.5000 0.5000 0.5000
0.5287 0.1973 0.8377
0.6973 0.0287 0.3377
0.8027 0.4713 0.8377
0.9713 0.3027 0.3377
0.2003 0.2003 0.0000
0.2997 0.2997 0.5000
0.7003 0.7003 0.5000
0.7997 0.7997 0.0000
0.1384 0.8616 0.3625
0.3616 0.6384 0.8625
0.6384 0.3616 0.1375
0.8616 0.1384 0.6375
```

Main lines, in order of falling intensity (2θ from 10° to 90°):
29.30°, I 100
33.08°, I 80
34.61°, I 57
34.37°, I 56
26.49°, I 37
62.70°, I 35
11.20°, I 31
34.04°, I 28



Record 2
This entry pairs a crystal structure of DyTm3Th4 with its simulated X-ray diffraction stick pattern. Radiation: Cu Ka. Structure: the GGA-PBE geometry in Alexandria.

Atomic structure:
```
DyTm3Th4
1.0
11.5965 0.0000 0.0000
0.0000 7.0824 0.0000
0.0000 0.0000 6.1844
Dy Tm Th
2 6 8
Direct
0.0000 0.1279 0.0000
0.5000 0.8721 0.5000
0.0000 0.8742 0.5008
0.2498 0.1265 0.3429
0.2502 0.8735 0.8429
0.5000 0.1258 0.0008
0.7502 0.1265 0.3429
0.7498 0.8735 0.8429
0.0000 0.3820 0.5067
0.0000 0.6223 0.0072
0.2494 0.6195 0.3353
0.2506 0.3805 0.8353
0.5000 0.3777 0.5072
0.5000 0.6180 0.0067
0.7494 0.3805 0.8353
0.7506 0.6195 0.3353
```

Main lines, in order of falling intensity (2θ from 10° to 90°):
32.99°, I 100
32.82°, I 50
30.84°, I 40
61.05°, I 23
29.06°, I 23
56.23°, I 23
51.28°, I 19
42.89°, I 16



Record 3
This entry pairs a crystal structure of Sr2DyNpP4 with its simulated X-ray diffraction stick pattern. Radiation: Cu Ka. Structure: the GGA-PBE geometry in Alexandria.

Atomic structure:
```
Sr2DyNpP4
1.0
7.1137 0.0000 0.0000
0.0000 4.1496 0.0000
-2.3645 0.0000 6.9209
Sr Dy Np P
2 1 1 4
Direct
0.0000 0.0000 0.0000
0.5000 0.5000 0.0000
0.0000 0.5000 0.5000
0.5000 0.0000 0.5000
0.2515 0.0000 0.7149
0.2717 0.5000 0.2889
0.7283 0.5000 0.7111
0.7485 0.0000 0.2851
```

Main lines, in order of falling intensity (2θ from 10° to 90°):
30.30°, I 100
26.31°, I 59
43.07°, I 54
30.48°, I 49
12.79°, I 46
43.98°, I 36
25.74°, I 33
26.48°, I 29